(1)
Diffraction record for Rb3Ag2Ge4. The powder diffraction line list is computed, not measured: it uses a GGA-PBE-relaxed structure and Cu Kα (λ = 1.5418 Å).

Cell and atoms:
```
Rb3Ag2Ge4
1.0
4.788 0.000 0.000
2.393 6.778 0.000
2.364 -0.771 8.491
Rb Ag Ge
3 2 4
Direct
0.000 0.000 0.000
0.240 0.169 0.348
0.760 0.831 0.652
0.063 0.634 0.239
0.937 0.366 0.761
0.337 0.409 0.922
0.493 0.631 0.385
0.507 0.369 0.615
0.663 0.591 0.078
```

Most intense lines, 2θ = 5–70°, by angle:
| 2θ/deg | Rel. int. | index |
| --- | --- | --- |
| 13.1 | 49.1 | 0 1 0 |
| 16.0 | 19.5 | 0 1 -1 |
| 25.6 | 47.1 | 1 1 2 |
| 27.5 | 100.0 | 0 2 -1 |
| 28.1 | 27.7 | 1 -1 0 |
| 33.4 | 24.0 | 1 0 -2 |
| 33.6 | 23.9 | 1 1 3 |
| 36.8 | 36.5 | 1 -1 3 |
| 37.6 | 53.4 | 2 1 1 |
| 47.2 | 44.3 | 2 3 0 |



(2)
Diffraction record for Rb3AgGe4. The powder diffraction line list is computed, not measured: it uses a GGA-PBE-relaxed structure and Cu Kα (λ = 1.5418 Å).

Cell and atoms:
```
Rb3AgGe4
1.0
6.934 0.000 0.000
0.000 12.619 0.000
0.000 0.000 6.302
Rb Ag Ge
6 2 8
Direct
0.250 0.014 0.168
0.250 0.250 0.576
0.250 0.486 0.168
0.750 0.514 0.832
0.750 0.750 0.424
0.750 0.986 0.832
0.250 0.750 0.307
0.750 0.250 0.693
0.051 0.750 0.938
0.250 0.640 0.673
0.250 0.860 0.673
0.449 0.750 0.938
0.551 0.250 0.062
0.750 0.140 0.327
0.750 0.360 0.327
0.949 0.250 0.062
```

Most intense lines, 2θ = 5–70°, by angle:
| 2θ/deg | Rel. int. | index |
| --- | --- | --- |
| 14.0 | 80.2 | 0 2 0 |
| 14.6 | 99.4 | 1 1 0 |
| 23.7 | 33.5 | 1 2 1 |
| 25.5 | 32.8 | 0 3 1 |
| 25.7 | 70.3 | 2 0 0 |
| 28.3 | 50.6 | 0 4 0 |
| 32.7 | 98.1 | 2 2 1 |
| 34.3 | 100.0 | 1 4 1 |
| 36.5 | 59.8 | 2 3 1 |
| 51.1 | 36.6 | 3 4 1 |